NdPt4Rh2: simulated XRD peak list (Cu Kα (λ = 1.5418 Å)), based on a crystal structure in Alexandria, relaxed with PBE.
Peak positions follow from Bragg's law for the DFT cell and can differ from measured ones.

The 10 most intense peaks (10° ≤ 2θ ≤ 90°), most intense first:
43.5 deg, I 100, (3 0 1)
37.5 deg, I 88, (2 2 0)
43.3 deg, I 76, (2 0 2)
34.1 deg, I 74, (2 1 1)
38.8 deg, I 43, (1 1 2)
33.8 deg, I 40, (0 0 2)
78.0 deg, I 34, (5 2 1)
68.6 deg, I 33, (3 3 2)
67.2 deg, I 28, (3 0 3)
51.6 deg, I 27, (3 2 1)

Cell and atoms:
a = 6.7817 Å, b = 6.7817 Å, c = 5.3021 Å
α = 90.00°, β = 90.00°, γ = 90.00°
Space group I4/mmm (No. 139)
Inequivalent atoms, fractional coordinates:
Nd1 0.0000 0.0000 0.0000
Pt1 0.1982 0.1982 0.5000
Rh1 0.0000 0.5000 0.2500

SrThPdPt: simulated XRD peak list (Cu Kα (λ = 1.5418 Å)), based on a crystal structure in Alexandria, relaxed with PBE.
Peak positions follow from Bragg's law for the DFT cell and can differ from measured ones.

The 10 most intense peaks (10° ≤ 2θ ≤ 90°), most intense first:
34.8 deg, I 100, (2 2 0)
62.4 deg, I 37, (4 2 2)
50.0 deg, I 18, (4 0 0)
83.9 deg, I 17, (6 2 0)
21.1 deg, I 15, (1 1 1)
73.5 deg, I 12, (4 4 0)
41.1 deg, I 9, (3 1 1)
54.9 deg, I 4, (3 3 1)
77.4 deg, I 3, (5 3 1)
66.6 deg, I 3, (5 1 1)

Cell and atoms:
a = 7.2924 Å, b = 7.2924 Å, c = 7.2924 Å
α = 90.00°, β = 90.00°, γ = 90.00°
Space group F-43m (No. 216)
Inequivalent atoms, fractional coordinates:
Sr1 0.0000 0.0000 0.0000
Th1 0.0000 0.0000 0.5000
Pd1 0.2500 0.2500 0.7500
Pt1 0.2500 0.2500 0.2500

Pr3Cu2Ni7: simulated XRD peak list (Cu Kα (λ = 1.5418 Å)), based on a crystal structure in Alexandria, relaxed with PBE.
Peak positions follow from Bragg's law for the DFT cell and can differ from measured ones.

The 10 most intense peaks (10° ≤ 2θ ≤ 90°), most intense first:
41.5 deg, I 100, (1 1 6)
35.1 deg, I 52, (1 1 0)
32.4 deg, I 43, (1 0 7)
40.9 deg, I 38, (0 2 1)
35.3 deg, I 37, (0 1 8)
74.2 deg, I 23, (2 2 0)
67.3 deg, I 22, (0 3 6)
44.8 deg, I 18, (2 0 5)
45.1 deg, I 15, (0 1 11)
63.1 deg, I 14, (1 2 8)

Cell and atoms:
a = 5.1148 Å, b = 5.1148 Å, c = 24.7946 Å
α = 90.00°, β = 90.00°, γ = 120.00°
Space group R-3m (No. 166, hexagonal axes)
Inequivalent atoms, fractional coordinates:
Pr1 0.0000 0.0000 0.0000
Pr2 0.0000 0.0000 0.1390
Cu1 0.0000 0.0000 0.3331
Ni1 0.0000 0.0000 0.5000
Ni2 0.0011 0.5005 0.0817

TbNb3Ge2: simulated XRD peak list (Cu Kα (λ = 1.5418 Å)), based on a crystal structure in Alexandria, relaxed with PBE.
Peak positions follow from Bragg's law for the DFT cell and can differ from measured ones.

The 10 most intense peaks (10° ≤ 2θ ≤ 90°), most intense first:
35.0 deg, I 100, (3 1 1)
37.5 deg, I 93, (5 1 -2)
41.1 deg, I 49, (0 2 0)
31.5 deg, I 28, (2 0 -3)
38.9 deg, I 27, (1 1 -3)
51.8 deg, I 20, (8 0 -1)
68.2 deg, I 17, (8 2 -1)
72.5 deg, I 14, (5 3 -2)
32.7 deg, I 14, (2 0 2)
71.0 deg, I 14, (3 3 1)

Cell and atoms:
a = 14.7193 Å, b = 4.3904 Å, c = 8.5731 Å
α = 90.00°, β = 118.38°, γ = 90.00°
Space group C2/m (No. 12)
Inequivalent atoms, fractional coordinates:
Tb1 0.1457 0.0000 0.0653
Nb1 0.0484 0.0000 0.3684
Nb2 0.0788 0.5000 0.6665
Nb3 0.1855 0.5000 0.4719
Ge1 0.0204 0.5000 0.1538
Ge2 0.1970 0.0000 0.7178

InFeB2: simulated XRD peak list (Cu Kα (λ = 1.5418 Å)), based on a crystal structure in Alexandria, relaxed with PBE.
Peak positions follow from Bragg's law for the DFT cell and can differ from measured ones.

The 10 most intense peaks (10° ≤ 2θ ≤ 90°), most intense first:
35.7 deg, I 100, (1 1 2)
26.0 deg, I 47, (0 0 4)
52.5 deg, I 33, (1 1 6)
55.1 deg, I 27, (2 0 4)
47.6 deg, I 21, (2 0 0)
80.8 deg, I 17, (3 1 2)
30.5 deg, I 12, (1 0 3)
75.7 deg, I 12, (2 2 4)
74.4 deg, I 11, (2 0 8)
78.3 deg, I 9, (1 1 10)

Cell and atoms:
a = 3.8208 Å, b = 3.8208 Å, c = 13.6908 Å
α = 90.00°, β = 90.00°, γ = 90.00°
Space group I4_1/amd (No. 141, origin choice 2)
Inequivalent atoms, fractional coordinates:
In1 0.0000 0.2500 0.3750
Fe1 0.0000 0.2500 0.8750
B1 0.0000 0.0000 0.0000

La2Pm8Dy3: simulated XRD peak list (Cu Kα (λ = 1.5418 Å)), based on a crystal structure in Alexandria, relaxed with PBE.
Peak positions follow from Bragg's law for the DFT cell and can differ from measured ones.

The 10 most intense peaks (10° ≤ 2θ ≤ 90°), most intense first:
31.2 deg, I 100, (4 2 -1)
30.0 deg, I 56, (0 4 0)
32.7 deg, I 46, (3 1 1)
29.5 deg, I 31, (2 2 1)
30.2 deg, I 30, (1 1 -2)
54.0 deg, I 21, (4 6 -1)
37.1 deg, I 18, (1 3 -2)
48.4 deg, I 16, (1 5 -2)
25.3 deg, I 16, (2 0 1)
39.2 deg, I 15, (3 3 1)

Cell and atoms:
a = 13.2127 Å, b = 11.9169 Å, c = 6.1979 Å
α = 90.00°, β = 113.30°, γ = 90.00°
Space group C2/m (No. 12)
Inequivalent atoms, fractional coordinates:
La1 0.2044 0.0000 0.3486
Pm1 0.0658 0.0000 0.7747
Pm2 0.1486 0.5000 0.0575
Pm3 0.1668 0.2492 0.6683
Dy1 0.0000 0.2502 0.0000
Dy2 0.0000 0.5000 0.5000

Cu12Sb4S13: simulated XRD peak list (Cu Kα (λ = 1.5418 Å)), based on a crystal structure in Alexandria, relaxed with PBE.
Peak positions follow from Bragg's law for the DFT cell and can differ from measured ones.

The 10 most intense peaks (10° ≤ 2θ ≤ 90°), most intense first:
29.8 deg, I 100, (2 2 2)
49.7 deg, I 49, (4 4 0)
59.0 deg, I 28, (6 2 2)
34.6 deg, I 23, (4 0 0)
36.7 deg, I 11, (4 1 1)
32.3 deg, I 10, (3 2 1)
44.5 deg, I 10, (5 1 0)
54.5 deg, I 9, (6 1 1)
80.7 deg, I 9, (6 6 2)
24.3 deg, I 8, (2 2 0)

Cell and atoms:
a = 10.3774 Å, b = 10.3774 Å, c = 10.3774 Å
α = 90.00°, β = 90.00°, γ = 90.00°
Space group I-43m (No. 217)
Inequivalent atoms, fractional coordinates:
Cu1 0.0000 0.0000 0.2221
Cu2 0.0000 0.2500 0.5000
Sb1 0.2281 0.2281 0.2281
S1 0.0000 0.0000 0.0000
S2 0.1161 0.1161 0.6347

CePr2US8: simulated XRD peak list (Cu Kα (λ = 1.5418 Å)), based on a crystal structure in Alexandria, relaxed with PBE.
Peak positions follow from Bragg's law for the DFT cell and can differ from measured ones.

The 10 most intense peaks (10° ≤ 2θ ≤ 90°), most intense first:
19.7 deg, I 100, (1 -1 0)
21.5 deg, I 56, (1 1 0)
24.9 deg, I 50, (0 1 -2)
25.1 deg, I 50, (0 1 2)
37.2 deg, I 34, (-1 2 2)
37.1 deg, I 34, (1 -2 2)
47.1 deg, I 31, (1 -1 4)
39.0 deg, I 27, (1 2 -2)
42.4 deg, I 23, (0 0 4)
25.8 deg, I 20, (1 0 -2)

Cell and atoms:
a = 5.8113 Å, b = 6.4936 Å, c = 8.5355 Å
α = 90.45°, β = 90.46°, γ = 95.02°
Space group P-1 (No. 2)
Inequivalent atoms, fractional coordinates:
Ce1 0.0000 0.0000 0.0000
Pr1 0.4101 0.4524 0.7499
U1 0.0000 0.0000 0.5000
S1 0.0866 0.7504 0.2659
S2 0.1415 0.8000 0.7337
S3 0.3665 0.2332 0.4661
S4 0.3799 0.2487 0.0309

Tb12Pr6Tm: simulated XRD peak list (Cu Kα (λ = 1.5418 Å)), based on a crystal structure in Alexandria, relaxed with PBE.
Peak positions follow from Bragg's law for the DFT cell and can differ from measured ones.

The 10 most intense peaks (10° ≤ 2θ ≤ 90°), most intense first:
31.6 deg, I 100, (0 3 3)
30.2 deg, I 21, (0 0 6)
48.9 deg, I 19, (3 3 0)
27.6 deg, I 19, (3 0 0)
41.4 deg, I 18, (0 3 6)
54.5 deg, I 15, (3 0 9)
58.6 deg, I 14, (3 3 6)
59.4 deg, I 13, (6 0 3)
31.3 deg, I 8, (2 0 5)
80.4 deg, I 7, (3 6 3)

Cell and atoms:
a = 11.1789 Å, b = 11.1789 Å, c = 17.7444 Å
α = 90.00°, β = 90.00°, γ = 120.00°
Space group R-3m (No. 166, hexagonal axes)
Inequivalent atoms, fractional coordinates:
Tb1 0.0990 0.5495 0.4126
Tb2 0.1058 0.2116 0.4076
Pr1 0.0698 0.5349 0.7678
Tm1 0.0000 0.0000 0.0000

Sm2ZnP2N6: simulated XRD peak list (Cu Kα (λ = 1.5418 Å)), based on a crystal structure in Alexandria, relaxed with PBE.
Peak positions follow from Bragg's law for the DFT cell and can differ from measured ones.

The 10 most intense peaks (10° ≤ 2θ ≤ 90°), most intense first:
23.5 deg, I 100, (0 1 1)
32.1 deg, I 87, (1 1 0)
34.9 deg, I 80, (1 0 2)
40.1 deg, I 39, (2 0 1)
59.0 deg, I 32, (2 1 2)
48.1 deg, I 31, (0 2 2)
52.3 deg, I 29, (1 2 1)
18.3 deg, I 26, (1 0 0)
56.2 deg, I 24, (2 -1 3)
57.1 deg, I 22, (3 0 0)

Cell and atoms:
a = 5.5840 Å, b = 5.5840 Å, c = 6.0646 Å
α = 90.00°, β = 90.00°, γ = 120.00°
Space group P-3 (No. 147)
Inequivalent atoms, fractional coordinates:
Sm1 0.3333 0.6667 0.3183
Zn1 0.0000 0.0000 0.0000
P1 0.3333 0.6667 0.7964
N1 0.0807 0.3590 0.7787

AcInHgO: simulated XRD peak list (Cu Kα (λ = 1.5418 Å)), based on a crystal structure in Alexandria, relaxed with PBE.
Peak positions follow from Bragg's law for the DFT cell and can differ from measured ones.

The 10 most intense peaks (10° ≤ 2θ ≤ 90°), most intense first:
26.9 deg, I 100, (1 0 2)
40.0 deg, I 51, (2 0 0)
33.9 deg, I 51, (1 0 3)
33.6 deg, I 42, (1 1 2)
48.9 deg, I 41, (2 1 2)
28.0 deg, I 35, (1 1 0)
29.5 deg, I 33, (1 1 1)
53.4 deg, I 29, (2 1 3)
62.9 deg, I 22, (2 0 5)
57.9 deg, I 17, (2 2 0)

Cell and atoms:
a = 4.5054 Å, b = 4.5054 Å, c = 9.7885 Å
α = 90.00°, β = 90.00°, γ = 90.00°
Space group P4/nmm (No. 129, origin choice 2)
Inequivalent atoms, fractional coordinates:
Ac1 0.2500 0.2500 0.1163
In1 0.2500 0.7500 0.5000
Hg1 0.2500 0.2500 0.7052
O1 0.2500 0.7500 0.0000

Th2GaNi9: simulated XRD peak list (Cu Kα (λ = 1.5418 Å)), based on a crystal structure in Alexandria, relaxed with PBE.
Peak positions follow from Bragg's law for the DFT cell and can differ from measured ones.

The 10 most intense peaks (10° ≤ 2θ ≤ 90°), most intense first:
36.4 deg, I 100, (1 1 0)
35.8 deg, I 100, (0 1 8)
42.7 deg, I 98, (1 1 6)
32.8 deg, I 81, (1 0 7)
25.3 deg, I 67, (1 0 4)
42.5 deg, I 65, (0 2 1)
10.7 deg, I 63, (0 0 3)
46.3 deg, I 57, (2 0 5)
45.4 deg, I 54, (0 1 11)
44.9 deg, I 48, (0 2 4)

Cell and atoms:
a = 4.9315 Å, b = 4.9315 Å, c = 24.8389 Å
α = 90.00°, β = 90.00°, γ = 120.00°
Space group R-3m (No. 166, hexagonal axes)
Inequivalent atoms, fractional coordinates:
Th1 0.0000 0.0000 0.1319
Ga1 0.0000 0.0000 0.0000
Ni1 0.0000 0.0000 0.3329
Ni2 0.0000 0.0000 0.5000
Ni3 0.0009 0.5004 0.9188